Simulated powder diffractogram
Compound: BaAc8Ni5
Radiation: Cu Kα (λ = 1.5418 Å)
Structure: a GGA-PBE-relaxed structure
Peak positions follow from Bragg's law for the DFT cell and can differ from measured ones.

```
BaAc8Ni5
1.0
11.285 -2.181 0.000
11.285 2.181 0.000
-2.719 0.000 10.062
Ba Ac Ni
1 8 5
Cartesian
0.000 0.000 0.000
-0.266 0.000 6.691
4.658 0.000 3.300
7.271 0.000 0.257
7.320 0.000 6.314
12.531 0.000 3.747
12.579 0.000 9.805
15.193 0.000 6.762
20.116 0.000 3.371
2.403 0.000 5.463
2.427 0.000 8.138
9.925 0.000 5.031
17.424 0.000 1.924
17.447 0.000 4.599
```

Peak list (10 most intense, 2θ = 10–90°, by angle)
23.79°, intensity 14
26.25°, intensity 30
26.54°, intensity 100
27.75°, intensity 64
28.22°, intensity 27
31.68°, intensity 14
38.39°, intensity 19
41.40°, intensity 22
41.55°, intensity 37
50.47°, intensity 13

Simulated powder diffractogram
Compound: CuNiHRuCSe
Radiation: Cu Kα (λ = 1.5418 Å)
Structure: a GGA-PBE-relaxed structure
Peak positions follow from Bragg's law for the DFT cell and can differ from measured ones.

```
CuNiHRuCSe
1.0
5.016 0.000 0.000
0.000 2.885 0.000
-2.077 0.000 4.991
Cu Ni H Ru C Se
1 1 1 1 1 1
Cartesian
0.000 0.000 0.000
1.640 1.443 1.599
2.067 1.443 3.259
0.661 1.443 4.247
2.018 0.000 0.362
-0.708 1.443 2.183
```

Peak list (10 most intense, 2θ = 10–90°, by angle)
30.99°, intensity 68
35.97°, intensity 100
36.70°, intensity 61
37.48°, intensity 72
38.90°, intensity 99
41.80°, intensity 52
44.39°, intensity 49
48.21°, intensity 72
52.94°, intensity 58
64.61°, intensity 52

Simulated powder diffractogram
Compound: Cd2InBi
Radiation: Cu Kα (λ = 1.5418 Å)
Structure: a GGA-PBE-relaxed structure
Peak positions follow from Bragg's law for the DFT cell and can differ from measured ones.

```
Cd2InBi
1.0
5.715 0.000 0.000
1.913 6.353 0.000
0.459 3.218 5.908
Cd In Bi
4 2 2
Cartesian
2.021 3.012 2.108
2.240 4.542 5.143
5.846 5.029 0.765
6.065 6.559 3.800
3.415 7.724 5.200
4.671 1.847 0.707
3.210 6.232 2.219
4.876 3.338 3.689
```

Peak list (10 most intense, 2θ = 10–90°, by angle)
32.08°, intensity 99
32.60°, intensity 87
32.85°, intensity 98
33.28°, intensity 100
35.74°, intensity 79
38.87°, intensity 50
39.14°, intensity 56
53.83°, intensity 37
54.67°, intensity 21
67.09°, intensity 25

Simulated powder diffractogram
Compound: TlPdPt
Radiation: Cu Kα (λ = 1.5418 Å)
Structure: a GGA-PBE-relaxed structure
Peak positions follow from Bragg's law for the DFT cell and can differ from measured ones.

```
TlPdPt
1.0
3.823 -3.897 0.000
3.823 3.897 0.000
-3.735 0.000 3.881
Tl Pd Pt
2 2 2
Cartesian
1.022 2.898 2.911
2.889 -2.898 0.970
1.912 1.948 0.000
0.044 -1.948 1.941
3.823 0.000 0.000
1.955 0.000 1.941
```

Peak list (10 most intense, 2θ = 10–90°, by angle)
32.53°, intensity 68
32.82°, intensity 33
38.29°, intensity 100
38.47°, intensity 32
38.74°, intensity 93
39.20°, intensity 57
40.09°, intensity 42
40.73°, intensity 44
61.87°, intensity 46
68.21°, intensity 26

Simulated powder diffractogram
Compound: Ce3Zr5O16
Radiation: Cu Kα (λ = 1.5418 Å)
Structure: a GGA-PBE-relaxed structure
Peak positions follow from Bragg's law for the DFT cell and can differ from measured ones.

```
Ce3Zr5O16
1.0
5.265 -5.329 0.000
5.265 5.329 0.000
0.000 0.000 5.350
Ce Zr O
3 5 16
Cartesian
0.000 0.000 0.000
5.265 2.592 2.675
5.265 -2.592 2.675
2.632 2.664 0.002
2.606 0.000 2.675
2.632 -2.664 5.348
5.265 0.000 0.000
7.924 0.000 2.675
3.897 3.826 4.150
1.384 1.194 1.485
3.993 1.488 1.035
1.384 -1.194 3.865
6.632 3.826 1.199
3.976 1.074 3.804
3.976 -1.074 1.546
6.537 1.488 4.315
3.993 -1.488 4.315
6.554 1.074 1.546
6.554 -1.074 3.804
3.897 -3.826 1.199
9.145 1.194 3.865
6.537 -1.488 1.035
9.145 -1.194 1.485
6.632 -3.826 4.150
```

Peak list (10 most intense, 2θ = 10–90°, by angle)
29.11°, intensity 100
33.50°, intensity 9
33.64°, intensity 9
34.06°, intensity 8
48.21°, intensity 18
48.57°, intensity 36
57.22°, intensity 14
57.39°, intensity 14
57.95°, intensity 14
60.34°, intensity 8